Diffraction record for CaLa4Ti3RuO15. The PXRD pattern is calculated, not measured: it uses a DFT-relaxed cell (GGA-PBE, the Materials Project) and Cu Kα.
Peak positions follow from Bragg's law for the DFT cell and can differ from measured ones.

Crystal structure
```
data_CaLa4Ti3RuO15
_chemical_formula_sum 'Ca1 La4 Ti3 Ru1 O15'
_space_group_name_H-M_alt 'P 3 m 1'
_space_group_IT_number 156
_cell_length_a 5.5514
_cell_length_b 5.5514
_cell_length_c 11.1171
_cell_angle_alpha 90.00
_cell_angle_beta 90.00
_cell_angle_gamma 120.00
loop_
_space_group_symop_operation_xyz
'x,y,z'
'-y,x-y,z'
'-x+y,-x,z'
'-y,-x,z'
'-x+y,y,z'
'x,x-y,z'
loop_
_atom_site_label
_atom_site_fract_x
_atom_site_fract_y
_atom_site_fract_z
Ca1 0.0000 0.0000 0.0000
La1 0.3333 0.6667 0.4228
La2 0.3333 0.6667 0.7789
La3 0.6667 0.3333 0.2172
La4 0.6667 0.3333 0.5733
Ti1 0.0000 0.0000 0.3179
Ti2 0.0000 0.0000 0.6793
Ti3 0.3333 0.6667 0.1016
Ru1 0.6667 0.3333 0.8978
O1 0.0023 0.5011 0.9999
O2 0.1671 0.3342 0.2018
O3 0.1731 0.3463 0.6002
O4 0.3315 0.1658 0.7941
O5 0.3468 0.1734 0.3957
```

Top 6 peaks for 10 to 80 degrees two-theta, by angle:
| d_spacing | 2theta | I/Imax | (hkl) |
| --- | --- | --- | --- |
| 4.808 | 18.5 | 22 | 1 0 0 |
| 2.935 | 30.5 | 100 | 0 1 3 |
| 2.776 | 32.3 | 78 | 1 1 0 |
| 2.017 | 44.9 | 65 | 2 0 3 |
| 1.729 | 53.0 | 19 | 1 0 6 |
| 1.632 | 56.4 | 39 | 1 2 3 |